For Ta7Te24I10, a DFT-relaxed cell (GGA-PBE, the Materials Project) gives the simulated powder diffractogram in this record (Cu Kα (weighted mean of Kα1 and Kα2)).
Intensities are scaled so that the largest is 100.

Principal peaks in the range 2θ = 10–90°, sorted by position:
index	2θ/deg	d/Å	I (rel.)
0 1 -2	12.19	7.259	100
0 0 4	12.93	6.847	36
0 1 2	13.51	6.552	28
1 0 8	29.65	3.013	21
-1 2 5	29.93	2.985	21
2 1 -3	31.62	2.830	21
2 -2 3	32.07	2.791	23
1 -3 0	33.68	2.661	25
2 2 -5	40.28	2.239	22
4 -1 0	53.05	1.726	20

Unit cell a=6.9057 b=8.1772 c=27.5793 alpha=96.47 beta=90.62 gamma=101.53
Space group P-1 (No. 2)
Unique sites:
Ta 0.0000 0.0000 0.0000
Ta 0.1092 0.4368 0.2148
Ta 0.2503 0.9992 0.5001
Ta 0.3905 0.5647 0.7854
Te 0.0070 0.0157 0.5839
Te 0.0656 0.2767 0.4842
Te 0.0807 0.3174 0.7337
Te 0.0950 0.3588 0.8375
Te 0.1856 0.7651 0.7322
Te 0.2016 0.8189 0.8343
Te 0.2938 0.1598 0.2304
Te 0.3538 0.4307 0.1307
Te 0.3674 0.4533 0.2984
Te 0.4247 0.7133 0.2004
Te 0.4400 0.7522 0.4484
Te 0.4545 0.7938 0.5521
I 0.1011 0.4236 0.6245
I 0.1588 0.7364 0.9553
I 0.2375 0.0092 0.0830
I 0.2916 0.2273 0.9634
I 0.4600 0.8518 0.3373